# Sm4Te2AsPd
Theoretical X-ray diffraction stick pattern, Cu Kα X-rays. Input: the PBE geometry in Alexandria.

Structural model:
```
data_Sm4Te2AsPd
_cell_length_a 7.5201
_cell_length_b 4.2610
_cell_length_c 7.5970
_cell_angle_alpha 90.00
_cell_angle_beta 108.88
_cell_angle_gamma 90.00
_symmetry_space_group_name_H-M 'P 1 2/m 1'
_symmetry_Int_Tables_number 10
_symmetry_space_group_name_Hall '-P 2y'
loop_
_atom_site_label
_atom_site_fract_x
_atom_site_fract_y
_atom_site_fract_z
Sm1 0.2381 0.0000 0.2197
Sm2 0.2624 0.5000 0.7754
Te1 0.0000 0.0000 0.5000
Te2 0.5000 0.5000 0.5000
As1 0.5000 0.0000 0.0000
Pd1 0.0000 0.5000 0.0000
```

Main lines, low angle first (2θ = 5–70°):
| d/Å | 2theta | Rel. int. | index |
| --- | --- | --- | --- |
| 3.074 | 29.05 | 51 | 2 0 -2 |
| 3.060 | 29.19 | 100 | 1 1 1 |
| 2.198 | 41.07 | 18 | 2 0 2 |
| 2.177 | 41.48 | 35 | 1 1 -3 |
| 2.161 | 41.81 | 39 | 3 1 -1 |
| 2.131 | 42.43 | 19 | 0 2 0 |
| 1.779 | 51.36 | 10 | 4 0 0 |
| 1.751 | 52.24 | 20 | 2 2 -2 |
| 1.530 | 60.52 | 11 | 2 2 2 |
| 1.369 | 68.52 | 9 | 5 1 -3 |
| 1.365 | 68.75 | 8 | 4 2 0 |
| 1.352 | 69.55 | 9 | 1 3 1 |

# Rb3Tl4Pd4
Theoretical X-ray diffraction stick pattern, Cu Kα X-rays. Input: the PBE geometry in Alexandria.

Structural model:
```
data_Rb3Tl4Pd4
_cell_length_a 8.6243
_cell_length_b 8.6243
_cell_length_c 8.6243
_cell_angle_alpha 90.00
_cell_angle_beta 90.00
_cell_angle_gamma 90.00
_symmetry_space_group_name_H-M 'I -4 3 m'
_symmetry_Int_Tables_number 217
_symmetry_space_group_name_Hall 'I -4 2 3'
loop_
_atom_site_label
_atom_site_fract_x
_atom_site_fract_y
_atom_site_fract_z
Rb1 0.0000 0.0000 0.5000
Tl1 0.1980 0.1980 0.1980
Pd1 0.1180 0.1180 0.8820
```

Main lines, low angle first (2θ = 5–70°):
| d/Å | 2theta | Rel. int. | index |
| --- | --- | --- | --- |
| 6.098 | 14.53 | 49 | 1 1 0 |
| 4.312 | 20.60 | 22 | 2 0 0 |
| 3.521 | 25.30 | 35 | 2 1 1 |
| 3.049 | 29.29 | 100 | 2 2 0 |
| 2.727 | 32.84 | 62 | 3 1 0 |
| 2.305 | 39.08 | 76 | 3 2 1 |
| 2.033 | 44.57 | 89 | 4 1 1 |
| 1.839 | 49.58 | 22 | 3 3 2 |
| 1.760 | 51.94 | 19 | 4 2 2 |
| 1.691 | 54.23 | 18 | 4 3 1 |
| 1.479 | 62.83 | 15 | 5 3 0 |
| 1.399 | 66.88 | 41 | 6 1 1 |

# CsLi2PmCl6
Theoretical X-ray diffraction stick pattern, Cu Kα X-rays. Input: the PBE geometry in Alexandria.

Structural model:
```
data_CsLi2PmCl6
_cell_length_a 6.7171
_cell_length_b 6.7190
_cell_length_c 9.2215
_cell_angle_alpha 68.67
_cell_angle_beta 68.73
_cell_angle_gamma 60.04
_symmetry_space_group_name_H-M 'P -1'
_symmetry_Int_Tables_number 2
_symmetry_space_group_name_Hall '-P 1'
loop_
_atom_site_label
_atom_site_fract_x
_atom_site_fract_y
_atom_site_fract_z
Cs1 0.0000 0.0000 0.0000
Li1 0.1722 0.1717 0.4842
Pm1 0.5000 0.5000 0.5000
Cl1 0.0987 0.7849 0.6738
Cl2 0.2156 0.5565 0.3258
Cl3 0.4429 0.0984 0.6740
```

Main lines, low angle first (2θ = 5–70°):
| d/Å | 2theta | Rel. int. | index |
| --- | --- | --- | --- |
| 8.371 | 10.57 | 26 | 0 0 1 |
| 5.280 | 16.79 | 100 | 1 1 0 |
| 4.268 | 20.81 | 65 | 1 1 2 |
| 3.118 | 28.63 | 23 | 2 1 0 |
| 2.834 | 31.56 | 25 | 2 2 2 |
| 2.763 | 32.41 | 22 | 1 0 3 |
| 2.640 | 33.96 | 19 | 2 2 0 |
| 2.620 | 34.22 | 71 | 2 1 3 |
| 2.166 | 41.69 | 21 | 3 2 1 |
| 2.076 | 43.60 | 19 | 2 3 3 |
| 1.940 | 46.84 | 24 | 3 3 2 |
| 1.776 | 51.44 | 20 | 1 2 5 |